Entry 1:
Structure and simulated powder X-ray diffraction pattern of La15Ge9P (a GGA-PBE-relaxed structure; Cu Kα (weighted mean of Kα1 and Kα2)).
No peak broadening, texture or thermal motion is included.

Peak list (10 most intense, 10° ≤ 2θ ≤ 90°, by intensity)
2θ 32.35, intensity 100.0, hkl 3 0 2
2θ 32.72, intensity 99.7, hkl 4 1 1
2θ 34.17, intensity 49.0, hkl 3 3 0
2θ 30.03, intensity 33.0, hkl 4 1 0
2θ 49.76, intensity 25.8, hkl 4 1 3
2θ 27.97, intensity 25.4, hkl 1 1 2
2θ 47.77, intensity 22.0, hkl 6 0 2
2θ 53.46, intensity 19.4, hkl 4 4 2
2θ 52.33, intensity 15.4, hkl 7 1 1
2θ 64.10, intensity 13.1, hkl 3 3 4

Crystal structure
abc: 15.7436 15.7436 6.9781
angles: 90.00 90.00 120.00
Space group P6_3mc (No. 186)
Unique sites:
La 0.0171 0.3410 0.0000 [12 per cell]
La 0.0822 0.1645 0.2749 [6 per cell]
La 0.1629 0.5815 0.2502 [6 per cell]
La 0.2488 0.4977 0.7232 [6 per cell]
Ge 0.0682 0.5341 0.7375 [6 per cell]
Ge 0.1302 0.2604 0.7227 [6 per cell]
Ge 0.1991 0.3983 0.2838 [6 per cell]
P 0.3333 0.6667 0.4881 [2 per cell]



Entry 2:
Structure and simulated powder X-ray diffraction pattern of La3Ge4Pd4 (a GGA-PBE-relaxed structure; Cu Kα (weighted mean of Kα1 and Kα2)).
No peak broadening, texture or thermal motion is included.

Peak list (10 most intense, 10° ≤ 2θ ≤ 90°, by intensity)
2θ 32.46, intensity 100.0, hkl 1 1 4
2θ 40.71, intensity 21.4, hkl 0 2 0
2θ 42.67, intensity 20.0, hkl 2 0 0
2θ 44.23, intensity 14.4, hkl 0 1 11
2θ 53.02, intensity 14.4, hkl 1 2 7
2θ 60.44, intensity 14.1, hkl 2 2 0
2θ 37.79, intensity 13.7, hkl 0 1 9
2θ 63.13, intensity 9.8, hkl 2 1 11
2θ 71.67, intensity 9.8, hkl 3 1 4
2θ 68.91, intensity 8.0, hkl 1 3 4

Crystal structure
abc: 4.2386 4.4327 25.4013
angles: 90.00 90.00 90.00
Space group Immm (No. 71)
Unique sites:
La 0.0000 0.0000 0.0000 [2 per cell]
La 0.0000 0.5000 0.1483 [4 per cell]
Ge 0.0000 0.0000 0.4503 [4 per cell]
Ge 0.0000 0.5000 0.3036 [4 per cell]
Pd 0.0000 0.0000 0.2502 [4 per cell]
Pd 0.0000 0.5000 0.4030 [4 per cell]



Entry 3:
Structure and simulated powder X-ray diffraction pattern of LaGe2Pd2 (a GGA-PBE-relaxed structure; Cu Kα (weighted mean of Kα1 and Kα2)).
No peak broadening, texture or thermal motion is included.

Peak list (10 most intense, 10° ≤ 2θ ≤ 90°, by intensity)
2θ 33.65, intensity 100.0, hkl 1 1 2
2θ 40.82, intensity 59.2, hkl 2 0 0
2θ 33.30, intensity 48.1, hkl 1 0 3
2θ 53.66, intensity 24.5, hkl 2 1 3
2θ 69.76, intensity 23.4, hkl 3 1 2
2θ 59.10, intensity 19.6, hkl 2 2 0
2θ 46.00, intensity 17.4, hkl 1 1 4
2θ 49.30, intensity 16.1, hkl 1 0 5
2θ 62.29, intensity 16.1, hkl 1 1 6
2θ 65.87, intensity 13.4, hkl 2 1 5

Crystal structure
abc: 4.4213 4.4213 10.1734
angles: 90.00 90.00 90.00
Space group I4/mmm (No. 139)
Unique sites:
La 0.0000 0.0000 0.0000 [2 per cell]
Ge 0.0000 0.0000 0.3755 [4 per cell]
Pd 0.0000 0.5000 0.2500 [4 per cell]



Entry 4:
Structure and simulated powder X-ray diffraction pattern of La3Ge6Pd4Pt2 (a GGA-PBE-relaxed structure; Cu Kα (weighted mean of Kα1 and Kα2)).
No peak broadening, texture or thermal motion is included.

Peak list (10 most intense, 10° ≤ 2θ ≤ 90°, by intensity)
2θ 33.51, intensity 100.0, hkl 1 1 6
2θ 40.02, intensity 96.5, hkl 2 0 0
2θ 33.79, intensity 95.1, hkl 1 0 9
2θ 53.35, intensity 51.8, hkl 2 1 9
2θ 46.64, intensity 33.0, hkl 1 1 12
2θ 57.88, intensity 32.5, hkl 2 2 0
2θ 28.01, intensity 29.3, hkl 1 1 0
2θ 50.60, intensity 26.8, hkl 1 0 15
2θ 68.56, intensity 24.4, hkl 3 1 6
2θ 66.39, intensity 23.6, hkl 2 1 15

Crystal structure
abc: 4.5058 4.5058 29.5308
angles: 90.00 90.00 90.00
Space group P4mm (No. 99)
Unique sites:
La 0.0000 0.0000 0.0000 [1 per cell]
La 0.0000 0.0000 0.3332 [1 per cell]
La 0.0000 0.0000 0.6661 [1 per cell]
La 0.5000 0.5000 0.1619 [1 per cell]
La 0.5000 0.5000 0.4950 [1 per cell]
La 0.5000 0.5000 0.8287 [1 per cell]
Ge 0.0000 0.0000 0.2063 [1 per cell]
Ge 0.0000 0.0000 0.5396 [1 per cell]
Ge 0.0000 0.0000 0.8730 [1 per cell]
Ge 0.0000 0.5000 0.0805 [2 per cell]
Ge 0.0000 0.5000 0.4136 [2 per cell]
Ge 0.0000 0.5000 0.7474 [2 per cell]
Ge 0.5000 0.5000 0.2884 [1 per cell]
Ge 0.5000 0.5000 0.6215 [1 per cell]
Ge 0.5000 0.5000 0.9556 [1 per cell]
Pd 0.0000 0.5000 0.2473 [2 per cell]
Pd 0.0000 0.5000 0.5804 [2 per cell]
Pd 0.0000 0.5000 0.9143 [2 per cell]
Pd 0.5000 0.5000 0.0404 [1 per cell]
Pd 0.5000 0.5000 0.3732 [1 per cell]
Pt 0.0000 0.0000 0.1218 [1 per cell]
Pt 0.0000 0.0000 0.4554 [1 per cell]
Pt 0.0000 0.0000 0.7882 [1 per cell]
Pt 0.5000 0.5000 0.7062 [1 per cell]



Entry 5:
Structure and simulated powder X-ray diffraction pattern of LaGe2PdRh (a GGA-PBE-relaxed structure; Cu Kα (weighted mean of Kα1 and Kα2)).
No peak broadening, texture or thermal motion is included.

Peak list (10 most intense, 10° ≤ 2θ ≤ 90°, by intensity)
2θ 33.81, intensity 100.0, hkl 1 1 2
2θ 40.78, intensity 43.4, hkl 2 0 0
2θ 53.95, intensity 20.5, hkl 2 1 3
2θ 69.81, intensity 19.0, hkl 3 1 2
2θ 59.04, intensity 14.4, hkl 2 2 0
2θ 50.27, intensity 13.2, hkl 1 0 5
2θ 46.65, intensity 12.0, hkl 1 1 4
2θ 66.65, intensity 11.1, hkl 2 1 5
2θ 63.49, intensity 8.8, hkl 1 1 6
2θ 28.53, intensity 8.2, hkl 1 1 0

Crystal structure
abc: 4.4250 4.4250 9.9504
angles: 90.00 90.00 90.00
Space group P4/nmm (No. 129, origin choice 2)
Unique sites:
La 0.2500 0.2500 0.2445 [2 per cell]
Ge 0.2500 0.2500 0.6329 [2 per cell]
Ge 0.2500 0.7500 0.0000 [2 per cell]
Pd 0.2500 0.7500 0.5000 [2 per cell]
Rh 0.2500 0.2500 0.8786 [2 per cell]



Entry 6:
Structure and simulated powder X-ray diffraction pattern of LaGe2PdRh (a GGA-PBE-relaxed structure; Cu Kα (weighted mean of Kα1 and Kα2)).
No peak broadening, texture or thermal motion is included.

Peak list (10 most intense, 10° ≤ 2θ ≤ 90°, by intensity)
2θ 34.04, intensity 100.0, hkl 1 1 2
2θ 41.77, intensity 66.3, hkl 2 0 0
2θ 33.19, intensity 65.1, hkl 1 0 3
2θ 54.36, intensity 31.5, hkl 2 1 3
2θ 48.71, intensity 26.4, hkl 1 0 5
2θ 71.32, intensity 22.6, hkl 3 1 2
2θ 60.55, intensity 21.7, hkl 2 2 0
2θ 66.07, intensity 20.9, hkl 2 1 5
2θ 45.90, intensity 20.4, hkl 1 1 4
2θ 87.84, intensity 14.9, hkl 2 0 8

Crystal structure
abc: 4.3252 4.3252 10.3641
angles: 90.00 90.00 90.00
Space group P4/nmm (No. 129, origin choice 2)
Unique sites:
La 0.2500 0.2500 0.2466 [2 per cell]
Ge 0.2500 0.2500 0.6239 [2 per cell]
Ge 0.2500 0.7500 0.0000 [2 per cell]
Pd 0.2500 0.2500 0.8672 [2 per cell]
Rh 0.2500 0.7500 0.5000 [2 per cell]



Entry 7:
Structure and simulated powder X-ray diffraction pattern of LaGe2Pt2 (a GGA-PBE-relaxed structure; Cu Kα (weighted mean of Kα1 and Kα2)).
No peak broadening, texture or thermal motion is included.

Peak list (10 most intense, 10° ≤ 2θ ≤ 90°, by intensity)
2θ 33.68, intensity 100.0, hkl 2 1 2
2θ 33.41, intensity 80.5, hkl 2 1 -2
2θ 40.33, intensity 54.2, hkl 0 0 4
2θ 40.19, intensity 46.5, hkl 0 2 0
2θ 58.25, intensity 30.7, hkl 0 2 4
2θ 33.92, intensity 26.7, hkl 3 0 2
2θ 46.23, intensity 25.0, hkl 4 1 -2
2θ 53.20, intensity 24.7, hkl 3 1 -4
2θ 29.51, intensity 23.8, hkl 1 1 -2
2θ 46.71, intensity 23.4, hkl 4 1 2

Crystal structure
abc: 9.9320 4.4875 8.9469
angles: 90.00 90.81 90.00
Space group P2_1/c (No. 14)
Unique sites:
La 0.2442 0.2449 0.1270 [4 per cell]
Ge 0.0007 0.2426 0.3746 [4 per cell]
Ge 0.3773 0.7057 0.3878 [4 per cell]
Pt 0.1242 0.7434 0.3769 [4 per cell]
Pt 0.4999 0.1935 0.3613 [4 per cell]



Entry 8:
Structure and simulated powder X-ray diffraction pattern of LaGe2Pt2 (a GGA-PBE-relaxed structure; Cu Kα (weighted mean of Kα1 and Kα2)).
No peak broadening, texture or thermal motion is included.

Peak list (10 most intense, 10° ≤ 2θ ≤ 90°, by intensity)
2θ 33.58, intensity 100.0, hkl 1 1 2
2θ 40.60, intensity 82.5, hkl 2 0 0
2θ 33.38, intensity 66.2, hkl 1 0 3
2θ 46.10, intensity 40.3, hkl 1 1 4
2θ 29.78, intensity 35.2, hkl 1 1 1
2θ 53.54, intensity 34.7, hkl 2 1 3
2θ 58.77, intensity 27.9, hkl 2 2 0
2θ 69.42, intensity 24.4, hkl 3 1 2
2θ 49.54, intensity 21.4, hkl 1 0 5
2θ 65.91, intensity 18.1, hkl 2 1 5

Crystal structure
abc: 4.4439 4.4439 10.1065
angles: 90.00 90.00 90.00
Space group P4/nmm (No. 129, origin choice 2)
Unique sites:
La 0.2500 0.2500 0.2464 [2 per cell]
Ge 0.2500 0.2500 0.6314 [2 per cell]
Ge 0.2500 0.7500 0.0000 [2 per cell]
Pt 0.2500 0.2500 0.8777 [2 per cell]
Pt 0.2500 0.7500 0.5000 [2 per cell]



Entry 9:
Structure and simulated powder X-ray diffraction pattern of LaGe2Pt2 (a GGA-PBE-relaxed structure; Cu Kα (weighted mean of Kα1 and Kα2)).
No peak broadening, texture or thermal motion is included.

Peak list (10 most intense, 10° ≤ 2θ ≤ 90°, by intensity)
2θ 33.52, intensity 100.0, hkl 1 1 -2
2θ 40.44, intensity 84.6, hkl 0 2 0
2θ 33.62, intensity 68.1, hkl 1 1 2
2θ 29.69, intensity 35.2, hkl 1 1 -1
2θ 58.52, intensity 28.6, hkl 2 2 0
2θ 69.20, intensity 22.4, hkl 1 3 -2
2θ 26.73, intensity 22.1, hkl 0 0 3
2θ 46.38, intensity 21.9, hkl 1 1 4
2θ 46.23, intensity 20.4, hkl 1 1 -4
2θ 53.44, intensity 18.5, hkl 2 1 -3

Crystal structure
abc: 4.4618 4.4609 10.0112
angles: 90.00 90.24 90.00
Space group P2_1/m (No. 11)
Unique sites:
La 0.2503 0.2500 0.2462 [2 per cell]
Ge 0.2421 0.2500 0.6272 [2 per cell]
Ge 0.2507 0.7500 0.0000 [2 per cell]
Pt 0.2485 0.2500 0.8767 [2 per cell]
Pt 0.2612 0.7500 0.5003 [2 per cell]



Entry 10:
Structure and simulated powder X-ray diffraction pattern of LaGe12Pt4 (a GGA-PBE-relaxed structure; Cu Kα (weighted mean of Kα1 and Kα2)).
No peak broadening, texture or thermal motion is included.

Peak list (10 most intense, 10° ≤ 2θ ≤ 90°, by intensity)
2θ 28.81, intensity 100.0, hkl 2 2 0
2θ 51.05, intensity 85.0, hkl 4 2 2
2θ 32.30, intensity 82.3, hkl 3 0 1
2θ 46.32, intensity 78.4, hkl 4 0 2
2θ 20.26, intensity 51.7, hkl 2 0 0
2θ 38.43, intensity 35.9, hkl 3 1 2
2θ 53.29, intensity 34.6, hkl 4 3 1
2θ 67.60, intensity 30.8, hkl 6 2 0
2θ 35.48, intensity 21.1, hkl 2 2 2
2θ 82.32, intensity 20.0, hkl 6 4 2

Crystal structure
abc: 8.7652 8.7652 8.7652
angles: 90.00 90.00 90.00
Space group Im-3 (No. 204)
Unique sites:
La 0.0000 0.0000 0.0000 [2 per cell]
Ge 0.0000 0.3549 0.1518 [24 per cell]
Pt 0.2500 0.2500 0.2500 [8 per cell]



Entry 11:
Structure and simulated powder X-ray diffraction pattern of LaGe2Pt2 (a GGA-PBE-relaxed structure; Cu Kα (weighted mean of Kα1 and Kα2)).
No peak broadening, texture or thermal motion is included.

Peak list (10 most intense, 10° ≤ 2θ ≤ 90°, by intensity)
2θ 33.49, intensity 100.0, hkl 1 1 2
2θ 40.47, intensity 50.7, hkl 2 0 0
2θ 17.53, intensity 28.3, hkl 0 0 2
2θ 69.18, intensity 24.9, hkl 3 1 2
2θ 46.01, intensity 24.8, hkl 1 1 4
2θ 33.31, intensity 23.7, hkl 1 0 3
2θ 62.46, intensity 18.1, hkl 1 1 6
2θ 58.56, intensity 17.2, hkl 2 2 0
2θ 54.90, intensity 12.9, hkl 2 0 4
2θ 53.38, intensity 12.2, hkl 2 1 3

Crystal structure
abc: 4.4581 4.4581 10.1172
angles: 90.00 90.00 90.00
Space group I4/mmm (No. 139)
Unique sites:
La 0.0000 0.0000 0.0000 [2 per cell]
Ge 0.0000 0.0000 0.3725 [4 per cell]
Pt 0.0000 0.5000 0.2500 [4 per cell]



Entry 12:
Structure and simulated powder X-ray diffraction pattern of LaGePt (a GGA-PBE-relaxed structure; Cu Kα (weighted mean of Kα1 and Kα2)).
No peak broadening, texture or thermal motion is included.

Peak list (10 most intense, 10° ≤ 2θ ≤ 90°, by intensity)
2θ 31.71, intensity 100.0, hkl 1 1 2
2θ 36.24, intensity 58.5, hkl 1 0 5
2θ 42.03, intensity 45.6, hkl 2 0 0
2θ 56.68, intensity 32.3, hkl 2 1 5
2θ 27.23, intensity 29.2, hkl 1 0 3
2θ 46.95, intensity 28.2, hkl 1 0 7
2θ 64.83, intensity 21.5, hkl 2 1 7
2θ 70.35, intensity 20.3, hkl 3 1 2
2θ 21.48, intensity 19.5, hkl 1 0 1
2θ 60.95, intensity 15.2, hkl 2 2 0

Crystal structure
abc: 4.2991 4.2991 15.1694
angles: 90.00 90.00 90.00
Space group I4_1md (No. 109)
Unique sites:
La 0.0000 0.0000 0.0000 [4 per cell]
Ge 0.0000 0.0000 0.4192 [4 per cell]
Pt 0.0000 0.0000 0.5850 [4 per cell]